Theoretical powder XRD pattern of PaBe13 for Cu Kα, 1.54184 Å, from a structure optimized by DFT (GGA-PBE).

Structural model:
```
data_PaBe13
_symmetry_space_group_name_H-M 'F m -3 c'
_symmetry_Int_Tables_number 226
_symmetry_space_group_name_Hall '-F 4a 2 3'
_cell_length_a 10.2153
_cell_length_b 10.2153
_cell_length_c 10.2153
_cell_angle_alpha 90.00
_cell_angle_beta 90.00
_cell_angle_gamma 90.00
loop_
_atom_site_label
_atom_site_type_symbol
_atom_site_fract_x
_atom_site_fract_y
_atom_site_fract_z
Pa1 Pa 0.2500 0.2500 0.2500
Be1 Be 0.0000 0.0000 0.0000
Be2 Be 0.0000 0.1155 0.1755
```

Peak list (10 most intense, 2θ from 5° to 70°, low angle first)
2θ (°)  Rel. int.
17.36  96
24.65  100
30.31  43
35.14  22
39.45  69
43.40  57
53.85  26
57.02  25
60.08  18
68.77  28

Theoretical powder XRD pattern of Y15TmO24 for Cu Kα, 1.54184 Å, from a structure optimized by DFT (GGA-PBE).

Structural model:
```
data_Y15TmO24
_symmetry_space_group_name_H-M 'C 1 2 1'
_symmetry_Int_Tables_number 5
_symmetry_space_group_name_Hall 'C 2y'
_cell_length_a 15.1154
_cell_length_b 10.6936
_cell_length_c 10.6904
_cell_angle_alpha 90.00
_cell_angle_beta 134.97
_cell_angle_gamma 90.00
loop_
_atom_site_label
_atom_site_type_symbol
_atom_site_fract_x
_atom_site_fract_y
_atom_site_fract_z
Y1 Y 0.0000 0.9999 0.0000
Y2 Y 0.0000 0.0661 0.5000
Y3 Y 0.9998 0.2835 0.2502
Y4 Y 0.0000 0.5000 0.0000
Y5 Y 0.0000 0.7827 0.2505
Y6 Y 0.2165 0.5332 0.4670
Y7 Y 0.2173 0.0330 0.9676
Y8 Y 0.2504 0.2827 0.2175
Y9 Y 0.2496 0.2835 0.7166
Tm1 Tm 0.0000 0.5667 0.5000
O1 O 0.0966 0.4150 0.4890
O2 O 0.0981 0.1532 0.9888
O3 O 0.0981 0.6531 0.2073
O4 O 0.0981 0.9131 0.7074
O5 O 0.1286 0.6408 0.7786
O6 O 0.1300 0.1425 0.4780
O7 O 0.1300 0.4238 0.9781
O8 O 0.1301 0.9238 0.2822
O9 O 0.1393 0.6840 0.5205
O10 O 0.1410 0.1849 0.7611
O11 O 0.1410 0.3809 0.2613
O12 O 0.1408 0.8809 0.0207
```

Peak list (10 most intense, 2θ from 5° to 70°, low angle first)
2θ (°)  Rel. int.
20.34  14
28.93  100
33.52  26
35.62  6
39.53  6
43.14  10
48.14  42
52.78  6
57.14  29
58.55  7

Theoretical powder XRD pattern of Er2SiSO4 for Cu Kα, 1.54184 Å, from a structure optimized by DFT (GGA-PBE).

Structural model:
```
data_Er2SiSO4
_symmetry_space_group_name_H-M 'C m c e'
_symmetry_Int_Tables_number 64
_symmetry_space_group_name_Hall '-C 2ac 2'
_cell_length_a 10.7314
_cell_length_b 12.3888
_cell_length_c 6.8553
_cell_angle_alpha 90.00
_cell_angle_beta 90.00
_cell_angle_gamma 90.00
loop_
_atom_site_label
_atom_site_type_symbol
_atom_site_fract_x
_atom_site_fract_y
_atom_site_fract_z
Er1 Er 0.0000 0.1714 0.0231
Er2 Er 0.2500 0.0605 0.7500
Si1 Si 0.2500 0.1861 0.2500
S1 S 0.0000 0.0091 0.7471
O1 O 0.1266 0.2362 0.7644
O2 O 0.2247 0.1059 0.0640
```

Peak list (10 most intense, 2θ from 5° to 70°, low angle first)
2θ (°)  Rel. int.
16.93  65
21.92  70
26.53  93
29.79  41
30.96  100
31.70  45
33.40  69
35.70  38
35.95  38
45.36  48

Theoretical powder XRD pattern of LaBiS2O for Cu Kα, 1.54184 Å, from a structure optimized by DFT (GGA-PBE).

Structural model:
```
data_LaBiS2O
_symmetry_space_group_name_H-M 'P 4/n m m'
_symmetry_Int_Tables_number 129
_cell_length_a 4.0476
_cell_length_b 4.0476
_cell_length_c 14.3608
_cell_angle_alpha 90.00
_cell_angle_beta 90.00
_cell_angle_gamma 90.00
loop_
_symmetry_equiv_pos_as_xyz
'x,y,z'
'-x,-y,-z'
'-y+1/2,x,z'
'y+1/2,-x,-z'
'-x+1/2,-y+1/2,z'
'x+1/2,y+1/2,-z'
'y,-x+1/2,z'
'-y,x+1/2,-z'
'x+1/2,-y,-z'
'-x+1/2,y,z'
'-y,-x,-z'
'y,x,z'
'-x,y+1/2,-z'
'x,-y+1/2,z'
'y+1/2,x+1/2,-z'
'-y+1/2,-x+1/2,z'
loop_
_atom_site_label
_atom_site_type_symbol
_atom_site_fract_x
_atom_site_fract_y
_atom_site_fract_z
La1 La 0.2500 0.2500 0.1338
Bi1 Bi 0.2500 0.2500 0.5854
S1 S 0.2500 0.2500 0.3156
S2 S 0.2500 0.2500 0.9071
O1 O 0.2500 0.7500 0.5000
```

Peak list (10 most intense, 2θ from 5° to 70°, low angle first)
2θ (°)  Rel. int.
6.15  58
24.80  25
25.26  100
28.89  31
31.25  67
33.36  17
38.43  27
40.30  36
44.78  31
52.11  30

Theoretical powder XRD pattern of Sb2S5 for Cu Kα, 1.54184 Å, from a structure optimized by DFT (GGA-PBE).

Structural model:
```
data_Sb2S5
_symmetry_space_group_name_H-M 'P 1 21/c 1'
_symmetry_Int_Tables_number 14
_symmetry_space_group_name_Hall '-P 2ybc'
_cell_length_a 13.7202
_cell_length_b 7.8224
_cell_length_c 8.9617
_cell_angle_alpha 90.00
_cell_angle_beta 102.85
_cell_angle_gamma 90.00
loop_
_atom_site_label
_atom_site_type_symbol
_atom_site_fract_x
_atom_site_fract_y
_atom_site_fract_z
Sb1 Sb 0.1185 0.0979 0.0388
Sb2 Sb 0.3811 0.1778 0.9100
S1 S 0.0111 0.5527 0.6950
S2 S 0.2112 0.2172 0.3543
S3 S 0.2505 0.6388 0.5886
S4 S 0.3326 0.6353 0.4295
S5 S 0.4516 0.2192 0.6733
```

Peak list (10 most intense, 2θ from 5° to 70°, low angle first)
2θ (°)  Rel. int.
13.11  52
15.20  100
20.33  14
21.67  15
22.96  31
23.70  19
26.71  25
27.67  16
30.63  29
32.78  15

Theoretical powder XRD pattern of Sr2MgTi2S6 for Cu Kα, 1.54184 Å, from a structure optimized by DFT (GGA-PBE).

Structural model:
```
data_Sr2MgTi2S6
_symmetry_space_group_name_H-M 'C 1 2/m 1'
_symmetry_Int_Tables_number 12
_symmetry_space_group_name_Hall '-C 2y'
_cell_length_a 12.9697
_cell_length_b 6.9952
_cell_length_c 5.8619
_cell_angle_alpha 90.00
_cell_angle_beta 106.61
_cell_angle_gamma 90.00
loop_
_atom_site_label
_atom_site_type_symbol
_atom_site_fract_x
_atom_site_fract_y
_atom_site_fract_z
Sr1 Sr 0.2265 0.0000 0.1599
Mg1 Mg 0.0000 0.0000 0.5000
Ti1 Ti 0.0000 0.5000 0.0000
Ti2 Ti 0.0000 0.5000 0.5000
S1 S 0.0821 0.2504 0.7970
S2 S 0.1610 0.5000 0.3328
```

Peak list (10 most intense, 2θ from 5° to 70°, low angle first)
2θ (°)  Rel. int.
14.53  45
19.94  30
25.47  42
26.11  88
35.44  100
36.85  26
37.07  43
37.41  26
38.77  56
40.51  47

Theoretical powder XRD pattern of Sr5Mg19Ge12 for Cu Kα, 1.54184 Å, from a structure optimized by DFT (GGA-PBE).

Structural model:
```
data_Sr5Mg19Ge12
_symmetry_space_group_name_H-M 'P -6 2 m'
_symmetry_Int_Tables_number 189
_symmetry_space_group_name_Hall 'P -6 -2'
_cell_length_a 14.6972
_cell_length_b 14.6972
_cell_length_c 4.4317
_cell_angle_alpha 90.00
_cell_angle_beta 90.00
_cell_angle_gamma 120.00
loop_
_atom_site_label
_atom_site_type_symbol
_atom_site_fract_x
_atom_site_fract_y
_atom_site_fract_z
Sr1 Sr 0.0000 0.8177 0.0000
Sr2 Sr 0.3333 0.6667 0.5000
Mg1 Mg 0.0000 0.0000 0.5000
Mg2 Mg 0.0000 0.2804 0.0000
Mg3 Mg 0.0000 0.4412 0.5000
Mg4 Mg 0.1241 0.6417 0.0000
Mg5 Mg 0.1767 0.3739 0.5000
Ge1 Ge 0.0000 0.1745 0.5000
Ge2 Ge 0.0000 0.6349 0.5000
Ge3 Ge 0.1677 0.4813 0.0000
```

Peak list (10 most intense, 2θ from 5° to 70°, low angle first)
2θ (°)  Rel. int.
24.22  42
25.23  40
27.36  94
29.14  63
31.63  100
32.42  81
40.72  59
42.62  78
48.09  57
60.41  54

Theoretical powder XRD pattern of Al3Bi5Br12 for Cu Kα, 1.54184 Å, from a structure optimized by DFT (GGA-PBE).

Structural model:
```
data_Al3Bi5Br12
_symmetry_space_group_name_H-M 'R -3 c'
_symmetry_Int_Tables_number 167
_symmetry_space_group_name_Hall '-R 3 2"c'
_cell_length_a 12.5845
_cell_length_b 12.5845
_cell_length_c 31.8692
_cell_angle_alpha 90.00
_cell_angle_beta 90.00
_cell_angle_gamma 120.00
loop_
_atom_site_label
_atom_site_type_symbol
_atom_site_fract_x
_atom_site_fract_y
_atom_site_fract_z
Al1 Al 0.0000 0.4858 0.2500
Bi1 Bi 0.0000 0.0000 0.1729
Bi2 Bi 0.0000 0.1488 0.7500
Br1 Br 0.0105 0.4127 0.6909
Br2 Br 0.0442 0.2087 0.9063
```

Peak list (10 most intense, 2θ from 5° to 70°, low angle first)
2θ (°)  Rel. int.
9.83  100
14.07  26
17.20  39
27.74  15
29.23  46
29.69  61
29.80  62
33.09  34
33.75  15
42.70  20

Theoretical powder XRD pattern of U8MnSe17 for Cu Kα, 1.54184 Å, from a structure optimized by DFT (GGA-PBE).

Structural model:
```
data_U8MnSe17
_symmetry_space_group_name_H-M 'C 1 2/m 1'
_symmetry_Int_Tables_number 12
_symmetry_space_group_name_Hall '-C 2y'
_cell_length_a 13.9030
_cell_length_b 8.7620
_cell_length_c 10.8851
_cell_angle_alpha 90.00
_cell_angle_beta 101.76
_cell_angle_gamma 90.00
loop_
_atom_site_label
_atom_site_type_symbol
_atom_site_fract_x
_atom_site_fract_y
_atom_site_fract_z
U1 U 0.0609 0.2428 0.2009
U2 U 0.1795 0.5000 0.5133
U3 U 0.2019 0.0000 0.9584
Mn1 Mn 0.0000 0.0000 0.5000
Se1 Se 0.0000 0.0000 0.0000
Se2 Se 0.0208 0.5000 0.6699
Se3 Se 0.0569 0.0000 0.7280
Se4 Se 0.1270 0.3076 0.9643
Se5 Se 0.1351 0.1898 0.4710
Se6 Se 0.2001 0.5000 0.2546
Se7 Se 0.2136 0.0000 0.2235
```

Peak list (10 most intense, 2θ from 5° to 70°, low angle first)
2θ (°)  Rel. int.
18.94  51
23.20  51
24.16  100
24.68  80
33.04  63
33.64  60
35.75  59
36.63  79
38.62  74
41.21  68